Starting from a cell relaxed with PBE+U, the X-ray powder pattern of MgMo2Rh4O12 was simulated for a wavelength of 1.5418 Å.

Peak list (6 most intense, 2θ = 10–80°, by angle)
h k l	two_theta	I (rel.)
1 1 0	26.5	100
1 0 3	34.1	80
2 0 0	37.8	24
2 1 3	51.8	68
2 2 0	54.6	19
3 0 3	66.0	21

Atomic structure:
a = 4.7545 Å, b = 4.7545 Å, c = 9.4681 Å
α = 90.00°, β = 90.00°, γ = 90.00°
Space group P-4 (No. 81)
One atom of each set of equivalent atoms:
Mg 0.0000 0.0000 0.0000 [1 per cell]
Mo 0.0000 0.5000 0.7391 [2 per cell]
Rh 0.0000 0.5000 0.0891 [2 per cell]
Rh 0.0000 0.5000 0.4171 [2 per cell]
O 0.1947 0.3055 0.5840 [4 per cell]
O 0.1954 0.3110 0.9123 [4 per cell]
O 0.2010 0.2964 0.2507 [4 per cell]